This entry pairs a crystal structure of CsTm2B2S6 with its calculated powder XRD pattern. Radiation: copper Kα. Structure: a structure optimized by DFT (GGA-PBE).

Structure:
```
11
Lattice="6.4247 -3.5283 0.0000 6.4247 3.5283 0.0000 -3.6927 0.0000 6.2825" Properties=species:S:1:pos:R:3 pbc="T T T"
Cs 0.0000 0.0000 0.0000
Tm 1.7380 0.0000 4.2383
Tm 7.4187 0.0000 2.0443
B 3.5502 0.0000 1.6774
B 5.6065 0.0000 4.6051
S 2.8036 1.5456 2.2982
S 5.0992 0.0000 0.6920
S 6.3531 1.5456 3.9843
S 2.8036 -1.5456 2.2982
S 4.0576 0.0000 5.5905
S 6.3531 -1.5456 3.9843
```

Peak list (8 most intense, 10° ≤ 2θ ≤ 90°, in order of rising 2θ)
d (Å), I (rel.)
5.892, 100
3.831, 59
3.528, 31
3.272, 70
3.155, 57
3.027, 52
2.381, 31
2.292, 31


This entry pairs a crystal structure of KCoRu with its calculated powder XRD pattern. Radiation: copper Kα. Structure: a structure optimized by DFT (GGA-PBE).

Structure:
```
6
Lattice="4.3037 0.0000 0.0000 0.0000 4.3037 0.0000 0.0000 0.0000 7.9263" Properties=species:S:1:pos:R:3 pbc="T T T"
K 1.0759 1.0759 1.3153
K 3.2278 3.2278 6.6109
Co 1.0759 3.2278 3.9631
Co 3.2278 1.0759 3.9631
Ru 1.0759 1.0759 4.8494
Ru 3.2278 3.2278 3.0769
```

Peak list (8 most intense, 10° ≤ 2θ ≤ 90°, in order of rising 2θ)
d (Å), I (rel.)
7.926, 100
3.043, 10
2.915, 48
2.252, 9
2.152, 22
2.077, 14
1.731, 19
1.661, 15


This entry pairs a crystal structure of La18In3Co28 with its calculated powder XRD pattern. Radiation: copper Kα. Structure: a structure optimized by DFT (GGA-PBE).

Structure:
```
49
Lattice="-7.2193 7.2193 4.7512 7.2193 -7.2193 4.7512 7.2193 7.2193 -4.7512" Properties=species:S:1:pos:R:3 pbc="T T T"
La 3.4734 0.0000 0.0000
La 7.2193 0.0000 0.0000
La 10.9653 0.0000 0.0000
La 4.8204 4.8204 -2.2982
La 2.3989 -2.3989 2.4530
La 0.0000 3.4734 0.0000
La 7.2193 3.6195 0.0000
La -2.3989 2.3989 2.4530
La 2.3989 2.3989 2.4530
La 0.0000 7.2193 0.0000
La 3.6195 7.2193 0.0000
La 3.5998 0.0000 4.7512
La 4.8204 4.8204 2.2982
La 2.3989 -2.3989 7.0494
La 0.0000 3.5998 4.7512
La 0.0000 10.9653 0.0000
La -2.3989 2.3989 7.0494
La 2.3989 2.3989 7.0494
In 0.0000 0.0000 1.5359
In 0.0000 0.0000 4.7512
In 0.0000 0.0000 7.9665
Co 5.0771 2.1041 -1.1812
Co 9.3616 2.1041 -1.1812
Co 7.2193 -1.8289 2.3717
Co 2.1041 5.0771 -1.1812
Co 5.1152 -2.1423 3.5700
Co 3.5527 3.5527 0.0000
Co 3.6667 -3.6667 4.7512
Co 5.3904 0.0000 2.3795
Co 9.0483 0.0000 2.3795
Co 5.0771 2.1041 1.1812
Co 9.3616 2.1041 1.1812
Co 7.2193 1.8289 2.3717
Co 2.1041 5.0771 1.1812
Co 5.1152 -2.1423 5.9324
Co 2.1041 9.3616 -1.1812
Co 5.1152 2.1423 3.5700
Co 0.0000 5.3904 2.3795
Co -2.1423 5.1152 3.5700
Co 2.1423 5.1152 3.5700
Co -1.8289 7.2193 2.3717
Co 1.8289 7.2193 2.3717
Co -3.6667 3.6667 4.7512
Co 3.6667 3.6667 4.7512
Co 2.1041 9.3616 1.1812
Co 5.1152 2.1423 5.9324
Co 0.0000 9.0483 2.3795
Co -2.1423 5.1152 5.9324
Co 2.1423 5.1152 5.9324
```

Peak list (8 most intense, 10° ≤ 2θ ≤ 90°, in order of rising 2θ)
d (Å), I (rel.)
2.874, 100
2.767, 64
2.552, 46
2.406, 40
2.249, 35
2.107, 35
1.984, 25
1.450, 25


This entry pairs a crystal structure of CeU6 with its calculated powder XRD pattern. Radiation: copper Kα. Structure: a structure optimized by DFT (GGA-PBE).

Structure:
```
14
Lattice="7.1401 0.0000 0.0000 0.0000 7.1401 0.0000 0.0000 0.0000 7.1401" Properties=species:S:1:pos:R:3 pbc="T T T"
Ce 0.0000 0.0000 0.0000
Ce 3.5701 3.5701 3.5701
U 0.0000 1.7850 3.5701
U 0.0000 3.5701 1.7850
U 0.0000 3.5701 5.3551
U 0.0000 5.3551 3.5701
U 1.7850 0.0000 3.5701
U 1.7850 3.5701 0.0000
U 3.5701 0.0000 1.7850
U 3.5701 0.0000 5.3551
U 3.5701 1.7850 0.0000
U 3.5701 5.3551 0.0000
U 5.3551 0.0000 3.5701
U 5.3551 3.5701 0.0000
```

Peak list (8 most intense, 10° ≤ 2θ ≤ 90°, in order of rising 2θ)
d (Å), I (rel.)
5.049, 52
3.570, 42
2.915, 100
2.061, 54
1.908, 60
1.785, 40
1.262, 27
1.158, 19


This entry pairs a crystal structure of Be6CuNi5 with its calculated powder XRD pattern. Radiation: copper Kα. Structure: a structure optimized by DFT (GGA-PBE).

Structure:
```
12
Lattice="1.8550 -5.5743 0.0000 1.8550 5.5743 0.0000 0.0000 0.0000 5.2515" Properties=species:S:1:pos:R:3 pbc="T T T"
Be 0.0000 0.0000 1.2747
Be 0.0000 0.0000 3.9768
Be 1.8550 1.8949 1.2960
Be 1.8550 1.8949 3.9555
Be 1.8550 -1.8949 1.2960
Be 1.8550 -1.8949 3.9555
Cu 1.8550 0.0000 2.6258
Ni 1.8550 3.7310 0.0000
Ni 1.8550 3.7294 2.6258
Ni 1.8550 0.0000 0.0000
Ni 1.8550 -3.7310 0.0000
Ni 1.8550 -3.7294 2.6258
```

Peak list (6 most intense, 10° ≤ 2θ ≤ 90°, in order of rising 2θ)
d (Å), I (rel.)
2.626, 100
1.857, 98
1.516, 22
1.313, 14
1.174, 22
1.173, 4


This entry pairs a crystal structure of K4Hg3Bi with its calculated powder XRD pattern. Radiation: copper Kα. Structure: a structure optimized by DFT (GGA-PBE).

Structure:
```
8
Lattice="4.9776 0.0000 0.0000 0.0000 5.2794 0.0000 0.0000 0.0000 12.6794" Properties=species:S:1:pos:R:3 pbc="T T T"
K 0.0000 0.0000 0.0000
K 0.0000 2.6397 6.1693
K 2.4888 0.0000 8.9194
K 2.4888 2.6397 2.6875
Hg 0.0000 2.6397 9.8570
Hg 2.4888 0.0000 5.3580
Hg 2.4888 2.6397 11.6023
Bi 0.0000 0.0000 3.6395
```

Peak list (8 most intense, 10° ≤ 2θ ≤ 90°, in order of rising 2θ)
d (Å), I (rel.)
6.340, 55
4.874, 100
3.915, 30
3.482, 51
2.750, 91
2.674, 44
2.217, 28
1.878, 32


This entry pairs a crystal structure of SrAcSeN with its calculated powder XRD pattern. Radiation: copper Kα. Structure: a structure optimized by DFT (GGA-PBE).

Structure:
```
12
Lattice="4.0983 0.0000 0.0000 -2.0492 3.5493 0.0000 0.0000 0.0000 21.1666" Properties=species:S:1:pos:R:3 pbc="T T T"
Sr 0.0000 0.0000 0.0000
Sr 0.0000 2.3662 14.1111
Sr 2.0492 1.1831 7.0555
Ac 0.0000 0.0000 11.1727
Ac 0.0000 2.3662 4.1172
Ac 2.0492 1.1831 18.2283
Se 0.0000 0.0000 16.0396
Se 0.0000 2.3662 8.9840
Se 2.0492 1.1831 1.9285
N 0.0000 0.0000 5.2868
N 0.0000 2.3662 19.3979
N 2.0492 1.1831 12.3424
```

Peak list (8 most intense, 10° ≤ 2θ ≤ 90°, in order of rising 2θ)
d (Å), I (rel.)
7.056, 25
3.500, 27
3.365, 43
2.948, 100
2.720, 30
2.121, 29
2.049, 39
1.683, 19


This entry pairs a crystal structure of CdGe2Pt with its calculated powder XRD pattern. Radiation: copper Kα. Structure: a structure optimized by DFT (GGA-PBE).

Structure:
```
4
Lattice="4.1496 0.0000 0.0000 -2.0748 3.5937 0.0000 0.0000 0.0000 5.6100" Properties=species:S:1:pos:R:3 pbc="T T T"
Cd 0.0000 0.0000 0.0000
Ge 0.0000 2.3958 3.7820
Ge 2.0748 1.1979 1.8280
Pt 0.0000 0.0000 2.8050
```

Peak list (8 most intense, 10° ≤ 2θ ≤ 90°, in order of rising 2θ)
d (Å), I (rel.)
5.610, 28
3.594, 74
3.026, 27
2.211, 100
2.075, 64
1.513, 30
1.307, 17
1.223, 29


This entry pairs a crystal structure of Li2PrCd9 with its calculated powder XRD pattern. Radiation: copper Kα. Structure: a structure optimized by DFT (GGA-PBE).

Structure:
```
24
Lattice="-5.8977 5.8977 3.7464 5.8977 -5.8977 3.7464 5.8977 5.8977 -3.7464" Properties=species:S:1:pos:R:3 pbc="T T T"
Li 0.0000 0.0000 0.0000
Li 2.9488 2.9488 -1.8732
Li 2.9488 -2.9488 1.8732
Li 0.0000 5.8977 0.0000
Pr 5.8977 2.9488 0.9366
Pr 0.0000 2.9488 2.8098
Cd 5.8977 -2.9488 2.8098
Cd 4.4737 -0.5944 1.3478
Cd 7.3217 -0.5944 1.3478
Cd 2.3545 1.5249 0.5254
Cd 9.4409 1.5249 0.5254
Cd 4.4737 5.3033 -1.3478
Cd 1.4240 -0.5944 2.3986
Cd 2.3545 4.3728 0.5254
Cd 3.5432 -1.5249 4.2718
Cd 2.3545 7.4226 -0.5254
Cd 3.5432 1.5249 3.2210
Cd 4.4737 6.4921 1.3478
Cd 1.4240 0.5944 5.0942
Cd -3.5432 4.3728 3.2210
Cd 3.5432 4.3728 3.2210
Cd -1.4240 6.4921 2.3986
Cd 1.4240 6.4921 2.3986
Cd 0.0000 8.8465 0.9366
```

Peak list (8 most intense, 10° ≤ 2θ ≤ 90°, in order of rising 2θ)
d (Å), I (rel.)
3.482, 11
3.162, 10
2.641, 100
2.443, 12
2.317, 10
2.250, 37
1.524, 18
1.180, 9


This entry pairs a crystal structure of CdInPt5 with its calculated powder XRD pattern. Radiation: copper Kα. Structure: a structure optimized by DFT (GGA-PBE).

Structure:
```
14
Lattice="5.6250 0.0000 0.0000 0.0000 8.0524 0.0000 0.0000 0.0000 5.6230" Properties=species:S:1:pos:R:3 pbc="T T T"
Cd 0.0000 0.0000 0.0000
Cd 2.8125 4.0262 0.0000
In 0.0000 4.0262 2.8115
In 2.8125 0.0000 2.8115
Pt 0.0000 0.0000 2.8115
Pt 1.4063 2.0131 1.3871
Pt 1.4063 2.0131 4.2359
Pt 1.4063 6.0393 1.3871
Pt 1.4063 6.0393 4.2359
Pt 2.8125 4.0262 2.8115
Pt 4.2188 2.0131 1.3871
Pt 4.2188 2.0131 4.2359
Pt 4.2188 6.0393 1.3871
Pt 4.2188 6.0393 4.2359
```

Peak list (8 most intense, 10° ≤ 2θ ≤ 90°, in order of rising 2θ)
d (Å), I (rel.)
2.305, 100
2.013, 17
1.988, 32
1.415, 21
1.406, 11
1.211, 13
1.200, 25
1.153, 11


This entry pairs a crystal structure of Na2PaHgO5 with its calculated powder XRD pattern. Radiation: copper Kα. Structure: a structure optimized by DFT (GGA-PBE).

Structure:
```
9
Lattice="4.3189 0.0000 0.0000 0.0000 4.3189 0.0000 0.0000 0.0000 8.3374" Properties=species:S:1:pos:R:3 pbc="T T T"
Na 0.0000 0.0000 1.9191
Na 0.0000 0.0000 6.4183
Pa 2.1594 2.1594 0.0000
Hg 2.1594 2.1594 4.1687
O 0.0000 0.0000 4.1687
O 0.0000 2.1594 0.0000
O 2.1594 0.0000 0.0000
O 2.1594 2.1594 2.1433
O 2.1594 2.1594 6.1941
```

Peak list (8 most intense, 10° ≤ 2θ ≤ 90°, in order of rising 2θ)
d (Å), I (rel.)
4.319, 100
4.169, 46
3.054, 67
2.999, 94
2.464, 34
2.159, 33
1.752, 42
1.722, 25


This entry pairs a crystal structure of EuHoIn with its calculated powder XRD pattern. Radiation: copper Kα. Structure: a structure optimized by DFT (GGA-PBE).

Structure:
```
6
Lattice="3.7374 0.0000 0.0000 0.0000 3.7374 0.0000 0.0000 0.0000 13.4079" Properties=species:S:1:pos:R:3 pbc="T T T"
Eu 0.0000 0.0000 0.0000
Eu 1.8687 1.8687 6.7040
Ho 0.0000 0.0000 4.0060
Ho 1.8687 1.8687 10.7100
In 0.0000 0.0000 8.8800
In 1.8687 1.8687 2.1761
```

Peak list (8 most intense, 10° ≤ 2θ ≤ 90°, in order of rising 2θ)
d (Å), I (rel.)
2.867, 100
2.643, 44
2.235, 9
1.869, 16
1.706, 22
1.566, 32
1.434, 9
1.182, 7


This entry pairs a crystal structure of Ta4Fe2Si5 with its calculated powder XRD pattern. Radiation: copper Kα. Structure: a structure optimized by DFT (GGA-PBE).

Structure:
```
22
Lattice="-3.9577 7.9941 2.4661 3.9577 -7.9941 2.4661 3.9577 7.9941 -2.4661" Properties=species:S:1:pos:R:3 pbc="T T T"
Ta 5.8874 1.0118 0.0000
Ta 0.8599 2.2617 0.0000
Ta 4.8176 5.7324 0.0000
Ta 1.9298 6.9824 0.0000
Ta 2.0279 1.0118 2.4661
Ta -0.8599 2.2617 2.4661
Ta 3.0978 5.7324 2.4661
Ta -1.9298 6.9824 2.4661
Fe 3.9577 -3.1564 1.2331
Fe 3.9577 3.1564 1.2331
Fe 0.0000 4.8377 1.2331
Fe 0.0000 11.1505 1.2331
Si 3.3215 1.1857 0.0000
Si 2.3218 -4.4741 2.4661
Si 0.0000 0.0000 1.2331
Si 2.3218 4.4741 0.0000
Si 3.3215 -1.1857 2.4661
Si 0.6362 9.1798 0.0000
Si 1.6359 3.5200 2.4661
Si 0.0000 0.0000 3.6992
Si 1.6359 12.4682 0.0000
Si 0.6362 6.8084 2.4661
```

Peak list (8 most intense, 10° ≤ 2θ ≤ 90°, in order of rising 2θ)
d (Å), I (rel.)
3.547, 31
3.031, 31
2.891, 77
2.466, 40
2.248, 57
2.234, 100
2.221, 33
2.154, 36